Record 1
Simulated PXRD pattern
Compound: NaMo4C4NO14
Radiation: Cu Kα (weighted mean of Kα1 and Kα2)
Structure: a structure optimized by DFT (GGA+U)

Structure:
a b c (Å): 10.729 16.696 9.741
angles (deg): 90.00 107.52 90.00
Space group C2/m (No. 12)
Inequivalent atoms, fractional coordinates:
Na (0.000, 0.155, 0.000) (multiplicity 4)
Mo (0.086, 0.500, 0.864) (multiplicity 4)
Mo (0.165, 0.360, 0.111) (multiplicity 8)
Mo (0.240, 0.500, 0.369) (multiplicity 4)
C (0.021, 0.218, 0.577) (multiplicity 8)
C (0.101, 0.291, 0.616) (multiplicity 8)
N (0.000, 0.312, 0.500) (multiplicity 4)
O (0.007, 0.000, 0.939) (multiplicity 4)
O (0.023, 0.500, 0.317) (multiplicity 4)
O (0.063, 0.385, 0.905) (multiplicity 8)
O (0.103, 0.000, 0.652) (multiplicity 4)
O (0.128, 0.260, 0.120) (multiplicity 8)
O (0.130, 0.500, 0.093) (multiplicity 4)
O (0.177, 0.138, 0.905) (multiplicity 8)
O (0.199, 0.388, 0.310) (multiplicity 8)
O (0.232, 0.000, 0.448) (multiplicity 4)
O (0.240, 0.500, 0.846) (multiplicity 4)

Principal peaks in the range 10° ≤ 2θ ≤ 90°, low angle first:
(hkl), d (Å), Position (°2θ), I_rel
1 1 0, 8.724, 10.1, 85
0 2 0, 8.348, 10.6, 40
1 1 -1, 7.373, 12.0, 100
0 4 1, 3.807, 23.4, 17
2 2 -2, 3.687, 24.1, 16
1 3 -2, 3.639, 24.5, 47
2 2 1, 3.608, 24.7, 22
3 1 -1, 3.489, 25.5, 21
1 3 2, 3.149, 28.3, 23
2 4 1, 2.888, 31.0, 15
4 0 -1, 2.681, 33.4, 17
0 0 4, 2.322, 38.8, 16

---

Record 2
Simulated PXRD pattern
Compound: MoC6O6
Radiation: Cu Kα (weighted mean of Kα1 and Kα2)
Structure: a structure optimized by DFT (GGA+U)

Structure:
a b c (Å): 12.172 11.558 6.567
angles (deg): 90.00 90.00 90.00
Space group Pnma (No. 62)
Inequivalent atoms, fractional coordinates:
Mo (0.127, 0.250, 0.065) (multiplicity 4)
C (0.026, 0.123, 0.188) (multiplicity 8)
C (0.033, 0.250, 0.800) (multiplicity 4)
C (0.221, 0.250, 0.328) (multiplicity 4)
C (0.227, 0.122, 0.940) (multiplicity 8)
O (0.019, 0.750, 0.349) (multiplicity 4)
O (0.031, 0.553, 0.744) (multiplicity 8)
O (0.219, 0.550, 0.369) (multiplicity 8)
O (0.226, 0.750, 0.976) (multiplicity 4)

Principal peaks in the range 10° ≤ 2θ ≤ 90°, low angle first:
(hkl), d (Å), Position (°2θ), I_rel
0 2 0, 5.779, 15.3, 100
2 1 0, 5.385, 16.5, 92
1 1 1, 5.169, 17.2, 77
1 2 1, 4.086, 21.7, 37
3 1 1, 3.307, 27.0, 28
2 3 0, 3.255, 27.4, 32
1 1 2, 3.057, 29.2, 22
3 2 1, 2.963, 30.2, 31
2 3 1, 2.917, 30.7, 41
0 4 0, 2.890, 30.9, 30
4 2 0, 2.691, 33.3, 19
3 3 1, 2.571, 34.9, 34

---

Record 3
Simulated PXRD pattern
Compound: Mo2C4O9
Radiation: Cu Kα (weighted mean of Kα1 and Kα2)
Structure: a structure optimized by DFT (GGA+U)

Structure:
a b c (Å): 7.531 8.323 10.972
angles (deg): 104.65 106.01 96.95
Space group P-1 (No. 2)
Inequivalent atoms, fractional coordinates:
Mo (0.180, 0.004, 0.113) (multiplicity 2)
Mo (0.194, 0.981, 0.508) (multiplicity 2)
C (0.150, 0.302, 0.988) (multiplicity 2)
C (0.177, 0.700, 0.777) (multiplicity 2)
C (0.378, 0.605, 0.389) (multiplicity 2)
C (0.413, 0.020, 0.304) (multiplicity 2)
O (0.012, 0.755, 0.094) (multiplicity 2)
O (0.056, 0.162, 0.567) (multiplicity 2)
O (0.057, 0.712, 0.686) (multiplicity 2)
O (0.251, 0.667, 0.407) (multiplicity 2)
O (0.256, 0.254, 0.075) (multiplicity 2)
O (0.295, 0.690, 0.868) (multiplicity 2)
O (0.375, 0.072, 0.415) (multiplicity 2)
O (0.419, 0.008, 0.687) (multiplicity 2)
O (0.497, 0.458, 0.630) (multiplicity 2)

Principal peaks in the range 10° ≤ 2θ ≤ 90°, low angle first:
(hkl), d (Å), Position (°2θ), I_rel
0 1 0, 7.881, 11.2, 100
1 0 -1, 6.926, 12.8, 14
0 0 2, 5.029, 17.6, 15
0 1 -2, 4.970, 17.8, 18
1 0 -2, 4.907, 18.1, 14
1 1 -2, 4.479, 19.8, 11
0 2 0, 3.941, 22.6, 12
-1 1 2, 3.910, 22.7, 26
0 1 -3, 3.486, 25.6, 13
1 2 -2, 3.327, 26.8, 16
2 0 -3, 2.951, 30.3, 12
0 3 0, 2.627, 34.1, 12

---

Record 4
Simulated PXRD pattern
Compound: MoP4C13O2
Radiation: Cu Kα (weighted mean of Kα1 and Kα2)
Structure: a structure optimized by DFT (GGA+U)

Structure:
a b c (Å): 15.604 13.065 14.614
angles (deg): 90.00 90.00 90.00
Space group Cmcm (No. 63)
Inequivalent atoms, fractional coordinates:
Mo (0.000, 0.215, 0.250) (multiplicity 4)
P (0.000, 0.291, 0.090) (multiplicity 8)
P (0.136, 0.116, 0.250) (multiplicity 8)
C (0.000, 0.225, 0.529) (multiplicity 8)
C (0.000, 0.497, 0.750) (multiplicity 4)
C (0.075, 0.276, 0.511) (multiplicity 16)
C (0.229, 0.094, 0.170) (multiplicity 16)
C (0.241, 0.363, 0.750) (multiplicity 8)
O (0.075, 0.498, 0.750) (multiplicity 8)

Principal peaks in the range 10° ≤ 2θ ≤ 90°, low angle first:
(hkl), d (Å), Position (°2θ), I_rel
1 1 1, 8.262, 10.7, 100
2 0 0, 7.802, 11.3, 27
0 0 2, 7.307, 12.1, 22
0 2 0, 6.532, 13.6, 14
0 2 1, 5.964, 14.9, 26
2 2 0, 5.009, 17.7, 23
4 0 0, 3.904, 22.8, 16
0 0 4, 3.653, 24.4, 9
1 3 2, 3.638, 24.5, 15
3 3 1, 3.256, 27.4, 12
2 4 0, 3.013, 29.7, 10
1 3 4, 2.755, 32.5, 9